Structure and computed PXRD pattern of CrAsPSe2 (a structure optimized by DFT (GGA-PBE); λ = 1.5418 Å (Cu Kα)).
Peak positions follow from Bragg's law for the DFT cell and can differ from measured ones.

Atomic structure:
```
data_CrAsPSe2
_symmetry_space_group_name_H-M 'P 4/m m m'
_symmetry_Int_Tables_number 123
_symmetry_space_group_name_Hall '-P 4 2'
_cell_length_a 4.581
_cell_length_b 4.581
_cell_length_c 4.822
_cell_angle_alpha 90.00
_cell_angle_beta 90.00
_cell_angle_gamma 90.00
loop_
_atom_site_label
_atom_site_type_symbol
_atom_site_fract_x
_atom_site_fract_y
_atom_site_fract_z
_atom_site_occupancy
Cr1 Cr 0.000 0.000 0.000 1
As1 As 0.000 0.000 0.500 1
P1 P 0.500 0.500 0.500 1
Se1 Se 0.000 0.500 0.000 1
```

Main lines, in order of rising 2θ (10° ≤ 2θ ≤ 90°):
| d_spacing | Rel. int. | hkl |
| --- | --- | --- |
| 4.822 | 27 | 0 0 1 |
| 4.581 | 43 | 1 0 0 |
| 2.689 | 100 | 1 1 1 |
| 2.411 | 41 | 0 0 2 |
| 2.290 | 71 | 2 0 0 |
| 2.134 | 11 | 1 0 2 |
| 2.069 | 11 | 2 0 1 |
| 1.661 | 51 | 2 0 2 |
| 1.619 | 23 | 2 2 0 |
| 1.440 | 15 | 1 1 3 |
| 1.387 | 26 | 3 1 1 |
| 1.344 | 25 | 2 2 2 |